The following is a calculated PXRD pattern of Tl3CuBr4. It was derived from a PBE-relaxed structure, using Cu Kα (weighted mean of Kα1 and Kα2).

Peak list (10 most intense, 10 to 80 degrees two-theta, by angle)
h k l  2θ (°)  d/Å  I_rel
0 2 1  17.1  5.193  459
1 1 2  27.3  3.269  540
0 3 2  28.2  3.168  442
1 3 0  29.9  2.985  792
1 2 2  30.2  2.956  1000
1 0 3  32.6  2.743  571
0 3 3  34.3  2.618  460
2 0 0  40.1  2.246  596
1 2 5  50.8  1.799  289
2 3 3  53.8  1.704  256

Structural model:
```
data_Tl3CuBr4
_cell_length_a 4.491
_cell_length_b 11.988
_cell_length_c 10.394
_cell_angle_alpha 90.00
_cell_angle_beta 90.00
_cell_angle_gamma 90.00
_space_group_name_H-M_alt 'P m m n'
_space_group_IT_number 59
loop_
_space_group_symop_operation_xyz
'x,y,z'
'-x,-y,-z'
'-x+1/2,-y+1/2,z'
'x+1/2,y+1/2,-z'
'x+1/2,-y,-z'
'-x+1/2,y,z'
'-x,y+1/2,-z'
'x,-y+1/2,z'
loop_
_atom_site_label
_atom_site_type_symbol
_atom_site_fract_x
_atom_site_fract_y
_atom_site_fract_z
Tl1 Tl 0.250 0.070 0.130
Tl2 Tl 0.250 0.750 0.430
Cu1 Cu 0.250 0.250 0.834
Br1 Br 0.250 0.073 0.718
Br2 Br 0.250 0.250 0.339
Br3 Br 0.250 0.750 0.037
```